Record 1
Theoretical powder diffractogram
Compound: MoC
Radiation: Cu Kα (weighted mean of Kα1 and Kα2)
Structure: a crystal structure in the Materials Project, relaxed with GGA-PBE
Lines closer than 0.1° are merged.

Structural model:
```
data_MoC
_chemical_formula_sum 'Mo1 C1'
_cell_length_a 3.099
_cell_length_b 3.099
_cell_length_c 3.099
_cell_angle_alpha 60.00
_cell_angle_beta 60.00
_cell_angle_gamma 60.00
_space_group_name_H-M_alt 'P 1'
_space_group_IT_number 1
loop_
_space_group_symop_operation_xyz
'x,y,z'
loop_
_atom_site_label
_atom_site_type_symbol
_atom_site_fract_x
_atom_site_fract_y
_atom_site_fract_z
Mo1 Mo 0.000 0.000 0.000
C1 C 0.500 0.500 0.500
```

Principal peaks in the range 2θ = 5–70°, sorted by position:
- 2θ 35.5, rel. 1000
- 2θ 41.2, rel. 743
- 2θ 59.7, rel. 465


Record 2
Theoretical powder diffractogram
Compound: KSr2I5
Radiation: Cu Kα (weighted mean of Kα1 and Kα2)
Structure: a crystal structure in the Materials Project, relaxed with GGA-PBE
Lines closer than 0.1° are merged.

Structural model:
```
data_KSr2I5
_chemical_formula_sum 'K4 Sr8 I20'
_cell_length_a 10.075
_cell_length_b 9.159
_cell_length_c 14.430
_cell_angle_alpha 90.00
_cell_angle_beta 90.07
_cell_angle_gamma 90.00
_space_group_name_H-M_alt 'P 1'
_space_group_IT_number 1
loop_
_space_group_symop_operation_xyz
'x,y,z'
loop_
_atom_site_label
_atom_site_type_symbol
_atom_site_fract_x
_atom_site_fract_y
_atom_site_fract_z
K1 K 0.009 0.018 0.320
K2 K 0.009 0.482 0.820
K3 K 0.991 0.518 0.180
K4 K 0.991 0.982 0.680
Sr1 Sr 0.251 0.078 0.007
Sr2 Sr 0.251 0.422 0.507
Sr3 Sr 0.498 0.022 0.319
Sr4 Sr 0.498 0.478 0.819
Sr5 Sr 0.502 0.522 0.181
Sr6 Sr 0.502 0.978 0.681
Sr7 Sr 0.749 0.578 0.493
Sr8 Sr 0.749 0.922 0.993
I1 I 0.040 0.664 0.411
I2 I 0.040 0.836 0.911
I3 I 0.270 0.195 0.783
I4 I 0.270 0.305 0.283
I5 I 0.279 0.664 0.684
I6 I 0.279 0.836 0.184
I7 I 0.280 0.042 0.503
I8 I 0.280 0.458 0.003
I9 I 0.456 0.662 0.404
I10 I 0.456 0.838 0.904
I11 I 0.544 0.162 0.096
I12 I 0.544 0.338 0.596
I13 I 0.720 0.542 0.997
I14 I 0.720 0.958 0.497
I15 I 0.721 0.164 0.816
I16 I 0.721 0.336 0.316
I17 I 0.730 0.695 0.717
I18 I 0.730 0.805 0.217
I19 I 0.960 0.164 0.089
I20 I 0.960 0.336 0.589
```

Principal peaks in the range 2θ = 5–70°, sorted by position:
- 2θ 23.6, rel. 818
- 2θ 26.6, rel. 619
- 2θ 26.9, rel. 398
- 2θ 27.0, rel. 735
- 2θ 27.4, rel. 368
- 2θ 28.0, rel. 295
- 2θ 29.1, rel. 1000
- 2θ 29.9, rel. 511
- 2θ 30.5, rel. 569
- 2θ 35.6, rel. 378


Please write out number 1 again, unchanged.
Theoretical powder diffractogram
Compound: MoC
Radiation: Cu Kα (weighted mean of Kα1 and Kα2)
Structure: a crystal structure in the Materials Project, relaxed with GGA-PBE
Lines closer than 0.1° are merged.

Structural model:
```
data_MoC
_chemical_formula_sum 'Mo1 C1'
_cell_length_a 3.099
_cell_length_b 3.099
_cell_length_c 3.099
_cell_angle_alpha 60.00
_cell_angle_beta 60.00
_cell_angle_gamma 60.00
_space_group_name_H-M_alt 'P 1'
_space_group_IT_number 1
loop_
_space_group_symop_operation_xyz
'x,y,z'
loop_
_atom_site_label
_atom_site_type_symbol
_atom_site_fract_x
_atom_site_fract_y
_atom_site_fract_z
Mo1 Mo 0.000 0.000 0.000
C1 C 0.500 0.500 0.500
```

Principal peaks in the range 2θ = 5–70°, sorted by position:
- 2θ 35.5, rel. 1000
- 2θ 41.2, rel. 743
- 2θ 59.7, rel. 465